Simulated powder X-ray diffraction pattern
Compound: La3Sm8Tl4
Radiation: CuKα
Structure: a DFT-relaxed cell (GGA-PBE, Alexandria)
Kinematic intensities with the Lorentz-polarization factor, no thermal factor.

Peak list (10 most intense, 2θ from 10° to 90°, low angle first)
two_theta	intensity	(hkl)
27.93	63	0 4 0
30.43	100	0 0 2
31.10	47	4 0 0
41.78	84	0 4 2
42.29	41	4 4 0
54.92	19	4 0 2
61.56	13	4 4 -4
62.73	25	4 4 2
63.32	12	0 0 4
66.66	20	0 8 2

```
data_La3Sm8Tl4
_chemical_formula_sum 'La6 Sm16 Tl8'
_cell_length_a 13.375
_cell_length_b 12.776
_cell_length_c 6.834
_cell_angle_alpha 90.00
_cell_angle_beta 120.69
_cell_angle_gamma 90.00
_symmetry_space_group_name_H-M 'C 1 2/m 1'
_symmetry_Int_Tables_number 12
loop_
_symmetry_equiv_pos_as_xyz
'x,y,z'
'-x,-y,-z'
'-x,y,-z'
'x,-y,z'
'x+1/2,y+1/2,z'
'-x+1/2,-y+1/2,-z'
'-x+1/2,y+1/2,-z'
'x+1/2,-y+1/2,z'
loop_
_atom_site_label
_atom_site_type_symbol
_atom_site_fract_x
_atom_site_fract_y
_atom_site_fract_z
La1 La 0.000 0.000 0.000
La2 La 0.250 0.250 0.000
Sm1 Sm 0.000 0.256 0.500
Sm2 Sm 0.000 0.261 0.000
Sm3 Sm 0.239 0.500 0.016
Sm4 Sm 0.239 0.500 0.496
Tl1 Tl 0.000 0.000 0.500
Tl2 Tl 0.000 0.500 0.000
Tl3 Tl 0.250 0.250 0.500
```